Calculated PXRD pattern
Compound: La5SmTl2In
Radiation: Cu Kα, 1.54184 Å
Structure: a crystal structure in Alexandria, relaxed with GGA-PBE
Neutral-atom scattering factors, no anomalous dispersion.

The 12 most intense peaks (10 to 90 degrees two-theta), low angle first:
(hkl), 2θ/deg, I/Imax
1 1 0, 13.9, 13
2 2 0, 28.1, 54
2 1 3, 28.9, 83
3 1 0, 31.4, 19
2 0 4, 31.7, 100
3 1 2, 33.8, 19
3 2 1, 36.5, 37
2 1 5, 38.3, 19
4 1 1, 41.9, 18
4 0 2, 42.1, 17
4 2 4, 52.0, 15
5 1 2, 53.4, 14

Structure:
```
data_La5SmTl2In
_space_group_name_H-M_alt 'I 4/m c m'
_space_group_IT_number 140
_space_group_name_Hall '-I 4 2c'
_cell_length_a 8.997
_cell_length_b 8.997
_cell_length_c 14.493
_cell_angle_alpha 90.00
_cell_angle_beta 90.00
_cell_angle_gamma 90.00
loop_
_atom_site_label
_atom_site_fract_x
_atom_site_fract_y
_atom_site_fract_z
La1 0.000 0.000 0.000
La2 0.203 0.297 0.139
Sm1 0.000 0.500 0.250
Tl1 0.112 0.388 0.500
In1 0.000 0.000 0.250
```